Structure and computed powder X-ray diffraction pattern of ZnTeO3 (the PBE geometry in OQMD; Cu Ka).

Most intense lines, 5° ≤ 2θ ≤ 70°, in order of rising 2θ:
- 24.64°, I = 68
- 28.45°, I = 71
- 28.70°, I = 93
- 28.98°, I = 73
- 29.16°, I = 100
- 29.38°, I = 71
- 36.02°, I = 27
- 38.54°, I = 28
- 41.06°, I = 34
- 50.11°, I = 35
- 52.71°, I = 30
- 55.66°, I = 31

```
data_ZnTeO3
_cell_length_a 6.322
_cell_length_b 12.326
_cell_length_c 7.227
_cell_angle_alpha 90.00
_cell_angle_beta 90.00
_cell_angle_gamma 90.00
_symmetry_space_group_name_H-M 'P b c a'
_symmetry_Int_Tables_number 61
loop_
_symmetry_equiv_pos_as_xyz
'x,y,z'
'-x,-y,-z'
'-x+1/2,-y,z+1/2'
'x+1/2,y,-z+1/2'
'x+1/2,-y+1/2,-z'
'-x+1/2,y+1/2,z'
'-x,y+1/2,-z+1/2'
'x,-y+1/2,z+1/2'
loop_
_atom_site_label
_atom_site_type_symbol
_atom_site_fract_x
_atom_site_fract_y
_atom_site_fract_z
_atom_site_occupancy
Zn1 Zn 0.125 0.090 0.109 1
Te1 Te 0.090 0.145 0.569 1
O1 O 0.031 0.586 0.154 1
O2 O 0.150 0.568 0.547 1
O3 O 0.200 0.225 0.962 1
```